Structure and simulated XRD peak list of Ac2HgSbO6 (a cell relaxed with GGA-PBE; Cu Ka).

Principal peaks in the range 15 to 90 degrees two-theta, in order of falling intensity:
- (1 1 1), 3.126 Å, 28.6 deg, intensity 100
- (1 1 -3), 3.045 Å, 29.3 deg, intensity 95
- (0 0 4), 2.182 Å, 41.4 deg, intensity 55
- (2 0 -2), 2.973 Å, 30.1 deg, intensity 44
- (0 2 0), 3.214 Å, 27.8 deg, intensity 42
- (3 1 -1), 1.759 Å, 52.0 deg, intensity 21

Structure:
Lattice parameters (Å, degrees): 5.951 6.428 10.385 90.00 122.89 90.00
Fractional positions:
Ac  0.221  0.058  0.241
Ac  0.221  0.442  0.741
Ac  0.779  0.558  0.259
Ac  0.779  0.942  0.759
Hg  0.000  0.000  0.500
Hg  0.000  0.500  0.000
Sb  0.500  0.000  0.000
Sb  0.500  0.500  0.500
O  0.173  0.160  0.957
O  0.173  0.340  0.457
O  0.256  0.745  0.905
O  0.256  0.755  0.405
O  0.426  0.084  0.792
O  0.426  0.416  0.292
O  0.574  0.584  0.708
O  0.574  0.916  0.208
O  0.744  0.245  0.595
O  0.744  0.255  0.095
O  0.827  0.660  0.543
O  0.827  0.840  0.043